No. 1
Diffraction record for V4Mo. The X-ray powder pattern is simulated, not measured: it uses a crystal structure in Alexandria, relaxed with PBE and Cu Ka.

Principal peaks in the range 2θ from 5° to 70°, in order of rising 2θ:
| (hkl) | two_theta | I (rel.) |
| --- | --- | --- |
| 1 1 1 | 34.98 | 24 |
| 0 3 0 | 36.46 | 22 |
| 1 2 1 | 41.05 | 100 |
| 1 0 -2 | 41.24 | 38 |
| 2 1 -1 | 42.04 | 28 |
| 2 1 0 | 42.45 | 22 |
| 1 3 -1 | 44.40 | 35 |
| 2 2 -1 | 47.36 | 37 |

Structure:
Unit cell a=4.6295 b=7.3933 c=4.4773 alpha=90.00 beta=106.14 gamma=90.00
Space group P2/c (No. 13)
Inequivalent atoms, fractional coordinates:
V1 0.1689 0.1737 0.0760 (multiplicity 4)
V2 0.2427 0.4105 0.5287 (multiplicity 4)
Mo1 0.5000 0.1209 0.7500 (multiplicity 2)



No. 2
Diffraction record for PmPr12Ho2. The X-ray powder pattern is simulated, not measured: it uses a crystal structure in Alexandria, relaxed with PBE and Cu Ka.

Principal peaks in the range 2θ from 5° to 70°, in order of rising 2θ:
| (hkl) | two_theta | I (rel.) |
| --- | --- | --- |
| 2 0 4 | 28.35 | 28 |
| 0 2 7 | 29.05 | 47 |
| 2 2 2 | 29.79 | 69 |
| 0 4 0 | 30.45 | 68 |
| 0 2 8 | 32.23 | 100 |
| 2 2 6 | 36.08 | 32 |
| 0 6 8 | 55.24 | 20 |
| 2 4 11 | 56.87 | 22 |

Structure:
Unit cell a=7.2598 b=11.7436 c=25.2556 alpha=90.00 beta=90.00 gamma=90.00
Space group Cmme (No. 67)
Inequivalent atoms, fractional coordinates:
Pm1 0.0000 0.2500 0.0014 (multiplicity 4)
Pr1 0.0000 0.0029 0.9261 (multiplicity 8)
Pr2 0.0000 0.0244 0.4398 (multiplicity 8)
Pr3 0.2303 0.2500 0.5854 (multiplicity 8)
Pr4 0.2479 0.2500 0.1316 (multiplicity 8)
Pr5 0.2500 0.0000 0.1990 (multiplicity 8)
Pr6 0.2500 0.0000 0.3243 (multiplicity 8)
Ho1 0.0000 0.2500 0.2710 (multiplicity 4)
Ho2 0.0000 0.2500 0.7326 (multiplicity 4)